The following is a calculated PXRD pattern of AcHo3. It was derived from a structure optimized by DFT (GGA-PBE), using λ = 1.5418 Å (Cu Kα).
Neutral-atom scattering factors, no anomalous dispersion.

The 10 most intense peaks (2θ from 10° to 90°), in order of rising 2θ:
2θ/deg	d/Å	Rel. int.
27.69	3.222	19
28.28	3.156	14
30.80	2.903	34
31.76	2.817	100
32.28	2.773	40
41.89	2.157	13
49.70	1.835	18
55.38	1.659	21
58.65	1.574	11
59.59	1.551	35

Structural model:
```
data_AcHo3
_cell_length_a 3.7466
_cell_length_b 11.6105
_cell_length_c 6.3125
_cell_angle_alpha 90.00
_cell_angle_beta 90.00
_cell_angle_gamma 90.00
_symmetry_space_group_name_H-M 'I m m 2'
_symmetry_Int_Tables_number 44
loop_
_symmetry_equiv_pos_as_xyz
'x,y,z'
'-x,-y,z'
'-x,y,z'
'x,-y,z'
'x+1/2,y+1/2,z+1/2'
'-x+1/2,-y+1/2,z+1/2'
'-x+1/2,y+1/2,z+1/2'
'x+1/2,-y+1/2,z+1/2'
loop_
_atom_site_label
_atom_site_fract_x
_atom_site_fract_y
_atom_site_fract_z
Ac1 0.0000 0.0000 0.0000
Ho1 0.0000 0.2442 0.6483
Ho2 0.0000 0.5000 0.9915
```